Record 1
The following is a simulated powder XRD pattern of Nd4DyHg3. It was derived from a PBE-relaxed structure, using Cu Kα, 1.54184 Å.
Peak positions follow from Bragg's law for the DFT cell and can differ from measured ones.

Structural model:
Cell: 11.1387 7.1751 5.7607 Å, 90.00 90.00 90.00°
Space group Pmma (No. 51)
One atom of each set of equivalent atoms:
Nd  0.0000  0.2439  0.0000
Nd  0.2500  0.2399  0.4012
Dy  0.0000  0.5000  0.5000
Hg  0.0000  0.0000  0.5000
Hg  0.2500  0.0000  0.8944
Hg  0.2500  0.5000  0.8763

Main lines, sorted by position (15 to 90 degrees two-theta):
d 2.937, 2θ = 30.4°, rel. 17, hkl 1 2 1; d 2.880, 2θ = 31.0°, rel. 14, hkl 0 0 2; d 2.786, 2θ = 32.1°, rel. 54, hkl 4 0 0; d 2.672, 2θ = 33.5°, rel. 100, hkl 2 2 1; d 2.276, 2θ = 39.6°, rel. 10, hkl 3 0 2; d 1.585, 2θ = 58.2°, rel. 21, hkl 6 2 1; d 1.508, 2θ = 61.5°, rel. 17, hkl 4 4 0; d 1.447, 2θ = 64.4°, rel. 10, hkl 4 2 3; d 1.394, 2θ = 67.2°, rel. 10, hkl 2 0 4; d 1.100, 2θ = 88.9°, rel. 14, hkl 8 4 0

Record 2
The following is a simulated powder XRD pattern of LiCdAgPt. It was derived from a PBE-relaxed structure, using Cu Kα, 1.54184 Å.
Peak positions follow from Bragg's law for the DFT cell and can differ from measured ones.

Structural model:
Cell: 4.1491 4.1491 7.8498 Å, 90.00 90.00 90.00°
Space group I-4m2 (No. 119)
One atom of each set of equivalent atoms:
Li  0.0000  0.0000  0.0000
Cd  0.0000  0.5000  0.7500
Ag  0.0000  0.5000  0.2500
Pt  0.0000  0.0000  0.5000

Main lines, sorted by position (15 to 90 degrees two-theta):
d 3.668, 2θ = 24.3°, rel. 63, hkl 1 0 1; d 2.350, 2θ = 38.3°, rel. 100, hkl 1 1 2; d 2.213, 2θ = 40.8°, rel. 16, hkl 1 0 3; d 2.075, 2θ = 43.6°, rel. 34, hkl 2 0 0; d 1.962, 2θ = 46.3°, rel. 15, hkl 0 0 4; d 1.806, 2θ = 50.5°, rel. 18, hkl 2 1 1; d 1.467, 2θ = 63.4°, rel. 16, hkl 2 2 0; d 1.426, 2θ = 65.5°, rel. 20, hkl 2 0 4; d 1.244, 2θ = 76.6°, rel. 26, hkl 3 1 2; d 1.195, 2θ = 80.4°, rel. 11, hkl 1 1 6

Record 3
The following is a simulated powder XRD pattern of Li2B3C3. It was derived from a PBE-relaxed structure, using Cu Kα, 1.54184 Å.
Peak positions follow from Bragg's law for the DFT cell and can differ from measured ones.

Structural model:
Cell: 2.7253 2.7253 20.9926 Å, 90.00 90.00 120.00°
Space group P6_3/mmc (No. 194)
One atom of each set of equivalent atoms:
Li  0.0000  0.0000  0.1633
B  0.3333  0.6667  0.0791
B  0.3333  0.6667  0.7500
C  0.3333  0.6667  0.2500
C  0.3333  0.6667  0.5823

Main lines, sorted by position (15 to 90 degrees two-theta):
d 3.499, 2θ = 25.5°, rel. 100, hkl 0 0 6; d 2.360, 2θ = 38.1°, rel. 10, hkl 1 0 0; d 2.303, 2θ = 39.1°, rel. 2, hkl 1 0 2; d 2.236, 2θ = 40.3°, rel. 2, hkl 1 0 3; d 2.153, 2θ = 42.0°, rel. 3, hkl 1 0 4; d 1.957, 2θ = 46.4°, rel. 50, hkl 1 0 6; d 1.749, 2θ = 52.3°, rel. 15, hkl 0 0 12; d 1.363, 2θ = 68.9°, rel. 18, hkl 1 1 0; d 1.270, 2θ = 74.8°, rel. 10, hkl 1 1 6; d 1.118, 2θ = 87.2°, rel. 6, hkl 2 0 6

Please write out number 3 again, unchanged.
The following is a simulated powder XRD pattern of Li2B3C3. It was derived from a PBE-relaxed structure, using Cu Kα, 1.54184 Å.
Peak positions follow from Bragg's law for the DFT cell and can differ from measured ones.

Structural model:
Cell: 2.7253 2.7253 20.9926 Å, 90.00 90.00 120.00°
Space group P6_3/mmc (No. 194)
One atom of each set of equivalent atoms:
Li  0.0000  0.0000  0.1633
B  0.3333  0.6667  0.0791
B  0.3333  0.6667  0.7500
C  0.3333  0.6667  0.2500
C  0.3333  0.6667  0.5823

Main lines, sorted by position (15 to 90 degrees two-theta):
d 3.499, 2θ = 25.5°, rel. 100, hkl 0 0 6; d 2.360, 2θ = 38.1°, rel. 10, hkl 1 0 0; d 2.303, 2θ = 39.1°, rel. 2, hkl 1 0 2; d 2.236, 2θ = 40.3°, rel. 2, hkl 1 0 3; d 2.153, 2θ = 42.0°, rel. 3, hkl 1 0 4; d 1.957, 2θ = 46.4°, rel. 50, hkl 1 0 6; d 1.749, 2θ = 52.3°, rel. 15, hkl 0 0 12; d 1.363, 2θ = 68.9°, rel. 18, hkl 1 1 0; d 1.270, 2θ = 74.8°, rel. 10, hkl 1 1 6; d 1.118, 2θ = 87.2°, rel. 6, hkl 2 0 6